K2HgRhCl6: theoretical powder diffraction line list (Cu Kα X-rays), based on a GGA-PBE-relaxed structure.
Kinematic intensities with the Lorentz-polarization factor, no thermal factor.

Main lines, sorted by position (10 to 90 degrees two-theta):
17.27°, I = 100, hkl 0 2 0
24.39°, I = 16, hkl 0 0 2
24.52°, I = 66, hkl 1 2 1
24.67°, I = 16, hkl 2 0 0
34.95°, I = 69, hkl 0 4 0
39.23°, I = 33, hkl 2 2 2
43.02°, I = 21, hkl 0 4 2
43.34°, I = 14, hkl 3 2 1
50.26°, I = 30, hkl 2 4 2
56.69°, I = 14, hkl 1 6 1

Cell and atoms:
```
data_K2HgRhCl6
_cell_length_a 7.218
_cell_length_b 10.275
_cell_length_c 7.298
_cell_angle_alpha 90.00
_cell_angle_beta 90.00
_cell_angle_gamma 90.00
_symmetry_space_group_name_H-M 'P 1'
_symmetry_Int_Tables_number 1
loop_
_symmetry_equiv_pos_as_xyz
'x,y,z'
loop_
_atom_site_label
_atom_site_fract_x
_atom_site_fract_y
_atom_site_fract_z
K1 0.250 0.005 0.236
K2 0.250 0.495 0.236
K3 0.750 0.505 0.764
K4 0.750 0.995 0.764
Hg1 0.250 0.250 0.738
Hg2 0.750 0.750 0.262
Rh1 0.250 0.750 0.759
Rh2 0.750 0.250 0.241
Cl1 0.014 0.750 0.527
Cl2 0.015 0.750 0.992
Cl3 0.250 0.517 0.766
Cl4 0.250 0.983 0.766
Cl5 0.485 0.750 0.992
Cl6 0.486 0.750 0.527
Cl7 0.514 0.250 0.473
Cl8 0.515 0.250 0.008
Cl9 0.750 0.017 0.234
Cl10 0.750 0.483 0.234
Cl11 0.985 0.250 0.008
Cl12 0.986 0.250 0.473
```